Entry 1:
For Ca3Re3N5, DFT lattice parameters and positions (GGA-PBE) gives the computed XRD peak list in this record (Cu Kα (weighted mean of Kα1 and Kα2)).

Top 10 peaks for 10 to 90 degrees two-theta, by intensity:
d 2.784, 32.2°, I 100, hkl 1 0 -3; d 4.371, 20.3°, I 77, hkl 0 1 1; d 2.760, 32.4°, I 73, hkl 1 2 -2; d 2.692, 33.3°, I 67, hkl 0 2 1; d 6.418, 13.8°, I 60, hkl 0 1 0; d 2.801, 32.0°, I 48, hkl 2 -1 0; d 5.702, 15.5°, I 41, hkl 1 0 0; d 3.670, 24.3°, I 38, hkl 1 1 -2; d 2.341, 38.4°, I 33, hkl 1 -1 3; d 4.100, 21.7°, I 31, hkl 0 1 -2

```
data_Ca3Re3N5
_symmetry_space_group_name_H-M 'P -1'
_symmetry_Int_Tables_number 2
_cell_length_a 6.0003
_cell_length_b 6.8374
_cell_length_c 8.8985
_cell_angle_alpha 107.35
_cell_angle_beta 104.91
_cell_angle_gamma 95.19
loop_
_symmetry_equiv_pos_as_xyz
'x,y,z'
'-x,-y,-z'
loop_
_atom_site_label
_atom_site_type_symbol
_atom_site_fract_x
_atom_site_fract_y
_atom_site_fract_z
_atom_site_occupancy
Ca1 Ca 0.1421 0.3669 0.3858 1
Ca2 Ca 0.1610 0.1486 0.7022 1
Ca3 Ca 0.3081 0.9404 0.1145 1
Re1 Re 0.1853 0.4253 0.0649 1
Re2 Re 0.3814 0.8186 0.4647 1
Re3 Re 0.3839 0.6187 0.8062 1
N1 N 0.1156 0.5607 0.8772 1
N2 N 0.2453 0.0521 0.4165 1
N3 N 0.3021 0.7381 0.6347 1
N4 N 0.3798 0.2120 0.9809 1
N5 N 0.4187 0.5846 0.2922 1
```

=====

Entry 2:
For Ca8Re3N8, DFT lattice parameters and positions (GGA-PBE) gives the computed XRD peak list in this record (Cu Kα (weighted mean of Kα1 and Kα2)).

Top 10 peaks for 10 to 90 degrees two-theta, by intensity:
d 4.154, 21.4°, I 100, hkl 1 1 -1; d 3.840, 23.2°, I 68, hkl 3 1 0; d 2.755, 32.5°, I 60, hkl 1 1 2; d 2.539, 35.4°, I 56, hkl 0 2 0; d 4.889, 18.1°, I 53, hkl 2 0 1; d 2.521, 35.6°, I 43, hkl 5 1 -2; d 4.280, 20.8°, I 39, hkl 4 0 -1; d 2.934, 30.5°, I 26, hkl 6 0 0; d 2.253, 40.0°, I 25, hkl 2 2 1; d 2.313, 38.9°, I 23, hkl 7 1 -1

```
data_Ca8Re3N8
_symmetry_space_group_name_H-M 'C 1 2/m 1'
_symmetry_Int_Tables_number 12
_cell_length_a 18.2702
_cell_length_b 5.0776
_cell_length_c 7.2882
_cell_angle_alpha 90.00
_cell_angle_beta 105.51
_cell_angle_gamma 90.00
loop_
_symmetry_equiv_pos_as_xyz
'x,y,z'
'-x,-y,-z'
'-x,y,-z'
'x,-y,z'
'x+1/2,y+1/2,z'
'-x+1/2,-y+1/2,-z'
'-x+1/2,y+1/2,-z'
'x+1/2,-y+1/2,z'
loop_
_atom_site_label
_atom_site_type_symbol
_atom_site_fract_x
_atom_site_fract_y
_atom_site_fract_z
_atom_site_occupancy
Ca1 Ca 0.0240 0.0000 0.2619 1
Ca2 Ca 0.0969 0.5000 0.9547 1
Ca3 Ca 0.1628 0.5000 0.4684 1
Ca4 Ca 0.1976 0.0000 0.7940 1
Re1 Re 0.0000 0.5000 0.5000 1
Re2 Re 0.1873 0.0000 0.2045 1
N1 N 0.0276 0.5000 0.2700 1
N2 N 0.1000 0.0000 0.9977 1
N3 N 0.1777 0.0000 0.4507 1
N4 N 0.2148 0.5000 0.8282 1
```

=====

Entry 3:
For Sr2CaReN4, DFT lattice parameters and positions (GGA-PBE) gives the computed XRD peak list in this record (Cu Kα (weighted mean of Kα1 and Kα2)).

Top 10 peaks for 10 to 90 degrees two-theta, by intensity:
d 2.916, 30.7°, I 100, hkl 2 1 1; d 2.962, 30.2°, I 62, hkl 0 2 1; d 3.417, 26.1°, I 48, hkl 2 1 0; d 2.796, 32.0°, I 42, hkl 0 0 2; d 1.635, 56.3°, I 42, hkl 4 2 1; d 4.551, 19.5°, I 39, hkl 1 0 1; d 5.214, 17.0°, I 37, hkl 1 1 0; d 2.001, 45.3°, I 33, hkl 2 3 0; d 1.627, 56.6°, I 29, hkl 2 3 2; d 2.164, 41.7°, I 22, hkl 2 1 2

```
data_Sr2CaReN4
_symmetry_space_group_name_H-M 'P m n 21'
_symmetry_Int_Tables_number 31
_cell_length_a 7.8355
_cell_length_b 6.9839
_cell_length_c 5.5916
_cell_angle_alpha 90.00
_cell_angle_beta 90.00
_cell_angle_gamma 90.00
loop_
_symmetry_equiv_pos_as_xyz
'x,y,z'
'-x+1/2,-y,z+1/2'
'-x,y,z'
'x+1/2,-y,z+1/2'
loop_
_atom_site_label
_atom_site_type_symbol
_atom_site_fract_x
_atom_site_fract_y
_atom_site_fract_z
_atom_site_occupancy
Sr1 Sr 0.2497 0.1657 0.0000 1
Ca1 Ca 0.0000 0.3440 0.5114 1
Re1 Re 0.0000 0.6556 0.0454 1
N1 N 0.0000 0.4021 0.9447 1
N2 N 0.0000 0.6492 0.3728 1
N3 N 0.1984 0.7844 0.9611 1
```